Diffraction record for La5BPb3. The PXRD pattern is calculated, not measured: it uses a cell relaxed with PBE and Cu Kα.

Lattice parameters (Å, degrees): 9.7730 9.7730 6.8426 90.00 90.00 120.00
Fractional positions:
La: 0.0000 0.2255 0.2500
La: 0.0000 0.7745 0.7500
La: 0.2255 0.0000 0.2500
La: 0.2255 0.2255 0.7500
La: 0.3333 0.6667 0.0000
La: 0.3333 0.6667 0.5000
La: 0.6667 0.3333 0.0000
La: 0.6667 0.3333 0.5000
La: 0.7745 0.0000 0.7500
La: 0.7745 0.7745 0.2500
B: 0.0000 0.0000 0.0000
B: 0.0000 0.0000 0.5000
Pb: 0.0000 0.4060 0.7500
Pb: 0.0000 0.5940 0.2500
Pb: 0.4060 0.0000 0.7500
Pb: 0.4060 0.4060 0.2500
Pb: 0.5940 0.0000 0.2500
Pb: 0.5940 0.5940 0.7500

The 8 most intense peaks (2θ from 10° to 80°), sorted by position:
2θ 26.0, d 3.421, I = 21; 2θ 27.9, d 3.199, I = 24; 2θ 30.9, d 2.898, I = 100; 2θ 31.7, d 2.821, I = 24; 2θ 31.9, d 2.803, I = 55; 2θ 40.6, d 2.220, I = 20; 2θ 49.1, d 1.857, I = 28; 2θ 61.1, d 1.517, I = 25

---

Diffraction record for GdCuSeO. The PXRD pattern is calculated, not measured: it uses a cell relaxed with PBE and Cu Kα.

Lattice parameters (Å, degrees): 3.9361 3.9361 8.7887 90.00 90.00 90.00
Fractional positions:
Gd: 0.2500 0.2500 0.1323
Gd: 0.7500 0.7500 0.8677
Cu: 0.2500 0.7500 0.5000
Cu: 0.7500 0.2500 0.5000
Se: 0.2500 0.2500 0.6795
Se: 0.7500 0.7500 0.3205
O: 0.2500 0.7500 0.0000
O: 0.7500 0.2500 0.0000

The 8 most intense peaks (2θ from 10° to 80°), sorted by position:
2θ 30.5, d 2.932, I = 100; 2θ 32.2, d 2.783, I = 19; 2θ 33.8, d 2.653, I = 23; 2θ 38.3, d 2.351, I = 39; 2θ 46.1, d 1.968, I = 33; 2θ 53.1, d 1.725, I = 28; 2θ 56.3, d 1.634, I = 37; 2θ 67.3, d 1.392, I = 10

---

Diffraction record for K3AuF12. The PXRD pattern is calculated, not measured: it uses a cell relaxed with PBE and Cu Kα.

Lattice parameters (Å, degrees): 8.1036 8.1036 6.3665 104.38 104.38 122.06
Fractional positions:
K: 0.0000 0.0000 0.0000
K: 0.0000 0.5000 0.5000
K: 0.5000 0.0000 0.5000
Au: 0.5000 0.5000 0.5000
F: 0.0427 0.6258 0.1463
F: 0.1654 0.2749 0.7926
F: 0.2088 0.4062 0.3129
F: 0.2749 0.1654 0.7926
F: 0.3742 0.9573 0.8537
F: 0.4062 0.2088 0.3129
F: 0.5938 0.7912 0.6871
F: 0.6258 0.0427 0.1463
F: 0.7251 0.8346 0.2074
F: 0.7912 0.5938 0.6871
F: 0.8346 0.7251 0.2074
F: 0.9573 0.3742 0.8537

The 8 most intense peaks (2θ from 10° to 80°), sorted by position:
2θ 12.5, d 7.090, I = 48; 2θ 14.6, d 6.087, I = 53; 2θ 16.0, d 5.537, I = 100; 2θ 16.2, d 5.466, I = 36; 2θ 25.1, d 3.545, I = 34; 2θ 26.5, d 3.365, I = 50; 2θ 29.3, d 3.043, I = 35; 2θ 32.3, d 2.768, I = 67

---

Diffraction record for BaTiO3. The PXRD pattern is calculated, not measured: it uses a cell relaxed with PBE and Cu Kα.

Lattice parameters (Å, degrees): 5.7876 5.7876 14.0971 90.00 90.00 120.00
Fractional positions:
Ba: 0.0000 0.0000 0.2500
Ba: 0.0000 0.0000 0.7500
Ba: 0.3333 0.6667 0.0967
Ba: 0.3333 0.6667 0.4033
Ba: 0.6667 0.3333 0.5967
Ba: 0.6667 0.3333 0.9033
Ti: 0.0000 0.0000 0.0000
Ti: 0.0000 0.0000 0.5000
Ti: 0.3333 0.6667 0.6539
Ti: 0.3333 0.6667 0.8461
Ti: 0.6667 0.3333 0.1539
Ti: 0.6667 0.3333 0.3461
O: 0.0358 0.5179 0.7500
O: 0.1653 0.3306 0.5806
O: 0.1653 0.3306 0.9194
O: 0.1653 0.8347 0.5806
O: 0.1653 0.8347 0.9194
O: 0.3306 0.1653 0.0806
O: 0.3306 0.1653 0.4194
O: 0.4821 0.5179 0.7500
O: 0.4821 0.9642 0.7500
O: 0.5179 0.0358 0.2500
O: 0.5179 0.4821 0.2500
O: 0.6694 0.8347 0.5806
O: 0.6694 0.8347 0.9194
O: 0.8347 0.1653 0.0806
O: 0.8347 0.1653 0.4194
O: 0.8347 0.6694 0.0806
O: 0.8347 0.6694 0.4194
O: 0.9642 0.4821 0.2500

The 8 most intense peaks (2θ from 10° to 80°), sorted by position:
2θ 26.0, d 3.428, I = 42; 2θ 30.9, d 2.894, I = 100; 2θ 31.0, d 2.883, I = 69; 2θ 38.1, d 2.361, I = 16; 2θ 40.8, d 2.211, I = 31; 2θ 44.4, d 2.042, I = 43; 2θ 55.0, d 1.669, I = 46; 2θ 64.4, d 1.447, I = 20

---

Diffraction record for Cu2H3ClO3. The PXRD pattern is calculated, not measured: it uses a cell relaxed with PBE and Cu Kα.

Lattice parameters (Å, degrees): 6.1284 6.1284 6.1610 111.15 111.15 68.65
Fractional positions:
Cu: 0.0000 0.0000 0.0000
Cu: 0.0000 0.0000 0.5000
Cu: 0.0000 0.5000 0.0000
Cu: 0.5000 0.0000 0.0000
H: 0.2638 0.2638 0.3252
H: 0.2763 0.6737 0.7260
H: 0.3263 0.7237 0.2740
H: 0.6737 0.2763 0.7260
H: 0.7237 0.3263 0.2740
H: 0.7362 0.7362 0.6748
Cl: 0.3138 0.3138 0.6874
Cl: 0.6862 0.6862 0.3126
O: 0.1462 0.7645 0.2338
O: 0.2211 0.2211 0.1455
O: 0.2355 0.8538 0.7662
O: 0.7645 0.1462 0.2338
O: 0.7789 0.7789 0.8545
O: 0.8538 0.2355 0.7662

The 8 most intense peaks (2θ from 10° to 80°), sorted by position:
2θ 16.0, d 5.542, I = 49; 2θ 16.1, d 5.505, I = 100; 2θ 30.5, d 2.932, I = 26; 2θ 32.1, d 2.789, I = 44; 2θ 32.2, d 2.776, I = 96; 2θ 39.6, d 2.276, I = 96; 2θ 49.6, d 1.837, I = 27; 2θ 52.7, d 1.737, I = 32

---

Copy entry 2 word for word.
Diffraction record for GdCuSeO. The PXRD pattern is calculated, not measured: it uses a cell relaxed with PBE and Cu Kα.

Lattice parameters (Å, degrees): 3.9361 3.9361 8.7887 90.00 90.00 90.00
Fractional positions:
Gd: 0.2500 0.2500 0.1323
Gd: 0.7500 0.7500 0.8677
Cu: 0.2500 0.7500 0.5000
Cu: 0.7500 0.2500 0.5000
Se: 0.2500 0.2500 0.6795
Se: 0.7500 0.7500 0.3205
O: 0.2500 0.7500 0.0000
O: 0.7500 0.2500 0.0000

The 8 most intense peaks (2θ from 10° to 80°), sorted by position:
2θ 30.5, d 2.932, I = 100; 2θ 32.2, d 2.783, I = 19; 2θ 33.8, d 2.653, I = 23; 2θ 38.3, d 2.351, I = 39; 2θ 46.1, d 1.968, I = 33; 2θ 53.1, d 1.725, I = 28; 2θ 56.3, d 1.634, I = 37; 2θ 67.3, d 1.392, I = 10